Record 1
Simulated powder XRD pattern
Compound: Zr4O
Radiation: CuKα
Structure: a GGA-PBE-relaxed structure

Structural model:
a = 10.9432 Å, b = 10.9432 Å, c = 10.9432 Å
α = 29.99°, β = 29.99°, γ = 29.99°
Atoms (fractional coordinates):
Zr: 0.0334 0.3764 0.7143
Zr: 0.1238 0.7916 0.4623
Zr: 0.2084 0.5377 0.8762
Zr: 0.2857 0.9666 0.6236
Zr: 0.3764 0.7143 0.0334
Zr: 0.4623 0.1238 0.7916
Zr: 0.5377 0.8762 0.2084
Zr: 0.6236 0.2857 0.9666
Zr: 0.7143 0.0334 0.3764
Zr: 0.7916 0.4623 0.1238
Zr: 0.8762 0.2084 0.5377
Zr: 0.9666 0.6236 0.2857
O: 0.0000 0.0000 0.0000
O: 0.2498 0.2498 0.2498
O: 0.7502 0.7502 0.7502

Most intense lines, 15° ≤ 2θ ≤ 90°, in order of rising 2θ:
d/Å  two_theta  Rel. int.
2.831  31.60  20
2.611  34.35  23
2.489  36.09  100
1.919  47.37  18
1.634  56.28  19
1.483  62.65  19
1.385  67.62  19
1.366  68.71  14



Record 2
Simulated powder XRD pattern
Compound: Na2Np2Cl2O5
Radiation: CuKα
Structure: a GGA-PBE-relaxed structure

Structural model:
a = 12.4530 Å, b = 12.4530 Å, c = 12.4530 Å
α = 160.67°, β = 160.67°, γ = 27.47°
Atoms (fractional coordinates):
Na: 0.1744 0.1744 0.0000
Na: 0.8256 0.8256 0.0000
Np: 0.4142 0.4142 0.0000
Np: 0.5858 0.5858 0.0000
Cl: 0.2987 0.2987 0.0000
Cl: 0.7013 0.7013 0.0000
O: 0.0970 0.5970 0.5000
O: 0.4030 0.9030 0.5000
O: 0.5000 0.5000 0.0000
O: 0.5970 0.0970 0.5000
O: 0.9030 0.4030 0.5000

Most intense lines, 15° ≤ 2θ ≤ 90°, in order of rising 2θ:
d/Å  two_theta  Rel. int.
4.120  21.57  100
4.032  22.04  26
3.164  28.21  39
2.956  30.23  36
2.664  33.64  35
2.090  43.28  21
1.864  48.85  23
1.645  55.91  17



Record 3
Simulated powder XRD pattern
Compound: NdSmTe
Radiation: CuKα
Structure: a GGA-PBE-relaxed structure

Structural model:
a = 4.1738 Å, b = 15.8360 Å, c = 6.2227 Å
α = 90.00°, β = 90.00°, γ = 90.00°
Atoms (fractional coordinates):
Nd: 0.0000 0.1466 0.2500
Nd: 0.0000 0.8534 0.7500
Nd: 0.5000 0.3534 0.7500
Nd: 0.5000 0.6466 0.2500
Sm: 0.0000 0.4469 0.2500
Sm: 0.0000 0.5531 0.7500
Sm: 0.5000 0.0531 0.7500
Sm: 0.5000 0.9469 0.2500
Te: 0.0000 0.1995 0.7500
Te: 0.0000 0.8005 0.2500
Te: 0.5000 0.3005 0.2500
Te: 0.5000 0.6995 0.7500

Most intense lines, 15° ≤ 2θ ≤ 90°, in order of rising 2θ:
d/Å  two_theta  Rel. int.
3.274  27.24  100
3.111  28.69  77
2.897  30.86  92
2.430  37.00  55
2.255  39.98  72
2.087  43.36  25
1.733  52.82  28
1.583  58.28  31